(1)
Starting from the GGA-PBE geometry in Alexandria, the PXRD pattern of LaHoRu was simulated for Cu Kα X-rays.

Atomic structure:
```
LaHoRu
1.0
5.471 0.000 0.000
0.000 5.320 0.000
-0.825 0.000 5.692
La Ho Ru
2 2 2
direct
0.061 0.250 0.286
0.939 0.750 0.714
0.490 0.250 0.817
0.510 0.750 0.183
0.406 0.750 0.655
0.594 0.250 0.345
```

Peak list (8 most intense, 2θ = 10–80°, by intensity)
2θ/deg, I (rel.)
33.7, 100
29.6, 89
35.8, 80
26.9, 68
33.1, 58
31.4, 54
16.4, 54
47.9, 41

---

(2)
Starting from the GGA-PBE geometry in Alexandria, the PXRD pattern of Y8Ho6Th was simulated for Cu Kα X-rays.

Atomic structure:
```
Y8Ho6Th
1.0
4.512 2.605 6.890
-4.512 2.605 6.890
0.000 -5.211 6.890
Y Ho Th
8 6 1
direct
0.077 0.077 0.077
0.218 0.612 0.252
0.252 0.218 0.612
0.388 0.748 0.782
0.612 0.252 0.218
0.748 0.782 0.388
0.782 0.388 0.748
0.923 0.923 0.923
0.038 0.605 0.733
0.267 0.962 0.395
0.395 0.267 0.962
0.605 0.733 0.038
0.733 0.038 0.605
0.962 0.395 0.267
0.500 0.500 0.500
```

Peak list (8 most intense, 2θ = 10–80°, by intensity)
2θ/deg, I (rel.)
31.5, 100
32.4, 30
30.6, 25
35.0, 14
36.9, 13
55.5, 13
12.8, 12
53.2, 11

---

(3)
Starting from the GGA-PBE geometry in Alexandria, the PXRD pattern of Zn2TeI6 was simulated for Cu Kα X-rays.

Atomic structure:
```
Zn2TeI6
1.0
-4.016 8.855 5.986
4.016 -8.855 5.986
4.016 8.855 -5.986
Zn Te I
4 2 12
direct
0.176 0.185 0.360
0.324 0.685 0.009
0.676 0.315 0.991
0.824 0.815 0.640
0.250 0.250 0.000
0.750 0.750 0.000
0.080 0.929 0.618
0.189 0.571 0.151
0.193 0.853 0.046
0.307 0.353 0.660
0.311 0.462 0.382
0.420 0.038 0.849
0.580 0.962 0.151
0.689 0.538 0.618
0.693 0.647 0.340
0.807 0.147 0.954
0.811 0.429 0.849
0.920 0.071 0.382
```

Peak list (8 most intense, 2θ = 10–80°, by intensity)
2θ/deg, I (rel.)
17.9, 100
26.9, 75
23.9, 68
30.0, 53
33.6, 46
22.1, 43
43.6, 34
12.1, 32

---

(4)
Starting from the GGA-PBE geometry in Alexandria, the PXRD pattern of Dy11Ga9Ni4 was simulated for Cu Kα X-rays.

Atomic structure:
```
Dy11Ga9Ni4
1.0
6.882 -10.342 0.000
6.882 10.342 0.000
0.000 0.000 3.557
Dy Ga Ni
11 9 4
direct
0.000 0.000 0.000
0.071 0.413 0.000
0.166 0.834 0.000
0.309 0.309 0.000
0.374 0.626 0.000
0.413 0.071 0.000
0.587 0.929 0.000
0.626 0.374 0.000
0.691 0.691 0.000
0.834 0.166 0.000
0.929 0.587 0.000
0.079 0.218 0.500
0.165 0.630 0.500
0.218 0.079 0.500
0.370 0.835 0.500
0.500 0.500 0.500
0.630 0.165 0.500
0.782 0.921 0.500
0.835 0.370 0.500
0.921 0.782 0.500
0.243 0.447 0.500
0.447 0.243 0.500
0.553 0.757 0.500
0.757 0.553 0.500
```

Peak list (8 most intense, 2θ = 10–80°, by intensity)
2θ/deg, I (rel.)
36.3, 100
36.9, 35
38.7, 20
25.9, 20
51.4, 17
34.5, 14
64.9, 14
29.0, 11

---

(5)
Starting from the GGA-PBE geometry in Alexandria, the PXRD pattern of Cs2BaZn2Se4 was simulated for Cu Kα X-rays.

Atomic structure:
```
Cs2BaZn2Se4
1.0
8.621 -2.203 0.000
8.621 2.203 0.000
-3.350 0.000 8.196
Cs Ba Zn Se
2 1 2 4
direct
0.128 0.128 0.055
0.872 0.872 0.945
0.000 0.000 0.500
0.328 0.328 0.536
0.672 0.672 0.464
0.209 0.209 0.643
0.469 0.469 0.741
0.531 0.531 0.259
0.791 0.791 0.357
```

Peak list (8 most intense, 2θ = 10–80°, by intensity)
2θ/deg, I (rel.)
28.7, 100
47.5, 44
33.0, 36
28.3, 35
30.9, 34
24.6, 33
41.0, 29
25.9, 27

---

Repeat the third record exactly.
Starting from the GGA-PBE geometry in Alexandria, the PXRD pattern of Zn2TeI6 was simulated for Cu Kα X-rays.

Atomic structure:
```
Zn2TeI6
1.0
-4.016 8.855 5.986
4.016 -8.855 5.986
4.016 8.855 -5.986
Zn Te I
4 2 12
direct
0.176 0.185 0.360
0.324 0.685 0.009
0.676 0.315 0.991
0.824 0.815 0.640
0.250 0.250 0.000
0.750 0.750 0.000
0.080 0.929 0.618
0.189 0.571 0.151
0.193 0.853 0.046
0.307 0.353 0.660
0.311 0.462 0.382
0.420 0.038 0.849
0.580 0.962 0.151
0.689 0.538 0.618
0.693 0.647 0.340
0.807 0.147 0.954
0.811 0.429 0.849
0.920 0.071 0.382
```

Peak list (8 most intense, 2θ = 10–80°, by intensity)
2θ/deg, I (rel.)
17.9, 100
26.9, 75
23.9, 68
30.0, 53
33.6, 46
22.1, 43
43.6, 34
12.1, 32